For K2UCu2S6, a crystal structure in Alexandria, relaxed with GGA-PBE gives the computed X-ray powder pattern in this record (Cu Kα (weighted mean of Kα1 and Kα2)).
Lines closer than 0.1° are merged.

Structure:
Unit cell a=7.6739 b=7.6739 c=7.6739 alpha=56.13 beta=56.13 gamma=56.13
Element x y z (fractional)
1 K 0.2282 0.2282 0.2282
2 K 0.7718 0.7718 0.7718
3 U 0.0000 0.0000 0.0000
4 Cu 0.4168 0.4168 0.4168
5 Cu 0.5832 0.5832 0.5832
6 S 0.2390 0.7589 0.7589
7 S 0.2411 0.2411 0.7610
8 S 0.2411 0.7610 0.2411
9 S 0.7589 0.2390 0.7589
10 S 0.7589 0.7589 0.2390
11 S 0.7610 0.2411 0.2411

The 6 most intense peaks (2θ = 5–70°), most intense first:
| d_spacing | 2θ/deg | I (rel.) |
| --- | --- | --- |
| 5.250 | 16.89 | 100.0 |
| 3.610 | 24.66 | 73.7 |
| 3.288 | 27.12 | 62.1 |
| 2.625 | 34.16 | 39.8 |
| 2.016 | 44.96 | 36.6 |
| 1.805 | 50.57 | 28.2 |